Calculated PXRD pattern of TlHg3 for Cu Kα, from a cell relaxed with GGA-PBE.
Kinematic intensities with the Lorentz-polarization factor, no thermal factor.

Top 10 peaks for 10 to 90 degrees two-theta, in order of rising 2θ:
2θ (°), d (Å), intensity
31.27, 2.860, 100.0
33.95, 2.640, 26.3
37.07, 2.425, 63.4
51.61, 1.771, 25.3
55.21, 1.664, 19.7
61.59, 1.506, 14.9
63.22, 1.471, 27.0
65.23, 1.430, 12.5
84.45, 1.147, 12.9
87.71, 1.113, 11.9

Atomic structure:
Unit cell a=3.5420 b=3.5420 c=31.6844 alpha=90.00 beta=90.00 gamma=120.00
Sites, in units of the cell vectors:
Tl 0.0000 0.0000 0.0000
Tl 0.3333 0.6667 0.6667
Tl 0.6667 0.3333 0.3333
Hg 0.0000 0.0000 0.2469
Hg 0.0000 0.0000 0.5000
Hg 0.0000 0.0000 0.7531
Hg 0.3333 0.6667 0.1667
Hg 0.3333 0.6667 0.4197
Hg 0.3333 0.6667 0.9136
Hg 0.6667 0.3333 0.0864
Hg 0.6667 0.3333 0.5803
Hg 0.6667 0.3333 0.8333



Calculated PXRD pattern of LiI5 for Cu Kα, from a cell relaxed with GGA-PBE.
Kinematic intensities with the Lorentz-polarization factor, no thermal factor.

Top 10 peaks for 10 to 90 degrees two-theta, in order of rising 2θ:
2θ (°), d (Å), intensity
19.64, 4.521, 70.9
29.78, 3.000, 100.0
40.10, 2.249, 22.1
41.27, 2.187, 40.7
45.03, 2.013, 32.1
57.84, 1.594, 14.9
58.74, 1.572, 14.2
61.86, 1.500, 12.4
66.56, 1.405, 19.5
73.66, 1.286, 14.5

Atomic structure:
Unit cell a=4.5007 b=27.1242 c=4.4936 alpha=90.00 beta=90.00 gamma=90.00
Sites, in units of the cell vectors:
Li 0.0000 0.0000 0.0000
Li 0.5000 0.5000 0.0000
I 0.0000 0.1666 0.5000
I 0.0000 0.3334 0.0000
I 0.0000 0.5000 0.5000
I 0.0000 0.6666 0.0000
I 0.0000 0.8334 0.5000
I 0.5000 0.0000 0.5000
I 0.5000 0.1666 0.0000
I 0.5000 0.3334 0.5000
I 0.5000 0.6666 0.5000
I 0.5000 0.8334 0.0000



Calculated PXRD pattern of Cs3Nd2I9 for Cu Kα, from a cell relaxed with GGA-PBE.
Kinematic intensities with the Lorentz-polarization factor, no thermal factor.

Top 10 peaks for 10 to 90 degrees two-theta, in order of rising 2θ:
2θ (°), d (Å), intensity
12.39, 7.147, 48.7
23.74, 3.748, 43.3
24.92, 3.573, 89.9
26.48, 3.366, 100.0
28.51, 3.130, 77.2
30.96, 2.889, 55.8
40.02, 2.253, 32.6
41.50, 2.176, 69.7
43.46, 2.082, 31.8
48.37, 1.882, 36.6

Atomic structure:
Unit cell a=8.7034 b=8.7034 c=22.4880 alpha=90.00 beta=90.00 gamma=120.00
Sites, in units of the cell vectors:
Cs 0.0000 0.0000 0.2500
Cs 0.0000 0.0000 0.7500
Cs 0.3333 0.6667 0.0606
Cs 0.3333 0.6667 0.4394
Cs 0.6667 0.3333 0.5606
Cs 0.6667 0.3333 0.9394
Nd 0.3333 0.6667 0.6558
Nd 0.3333 0.6667 0.8442
Nd 0.6667 0.3333 0.1558
Nd 0.6667 0.3333 0.3442
I 0.0073 0.5037 0.7500
I 0.1626 0.3252 0.5847
I 0.1626 0.3252 0.9153
I 0.1626 0.8374 0.5847
I 0.1626 0.8374 0.9153
I 0.3252 0.1626 0.0847
I 0.3252 0.1626 0.4153
I 0.4963 0.5037 0.7500
I 0.4963 0.9927 0.7500
I 0.5037 0.0073 0.2500
I 0.5037 0.4963 0.2500
I 0.6748 0.8374 0.5847
I 0.6748 0.8374 0.9153
I 0.8374 0.1626 0.0847
I 0.8374 0.1626 0.4153
I 0.8374 0.6748 0.0847
I 0.8374 0.6748 0.4153
I 0.9927 0.4963 0.2500



Calculated PXRD pattern of K2AgIBr4 for Cu Kα, from a cell relaxed with GGA-PBE.
Kinematic intensities with the Lorentz-polarization factor, no thermal factor.

Top 10 peaks for 10 to 90 degrees two-theta, in order of rising 2θ:
2θ (°), d (Å), intensity
18.34, 4.839, 100.0
18.85, 4.709, 55.2
19.11, 4.644, 54.6
21.63, 4.109, 44.5
23.57, 3.775, 39.1
23.97, 3.712, 58.1
30.00, 2.978, 53.4
37.16, 2.419, 66.3
38.22, 2.355, 53.6
38.78, 2.322, 66.1

Atomic structure:
Unit cell a=9.6084 b=9.6084 c=9.8311 alpha=104.28 beta=104.28 gamma=117.59
Sites, in units of the cell vectors:
K 0.0000 0.0000 0.0000
K 0.0000 0.0000 0.5000
K 0.0000 0.5000 0.0000
K 0.5000 0.0000 0.5000
Ag 0.0000 0.5000 0.5000
Ag 0.5000 0.0000 0.0000
I 0.5000 0.5000 0.0000
I 0.5000 0.5000 0.5000
Br 0.0867 0.7049 0.3693
Br 0.1477 0.2958 0.3420
Br 0.2951 0.9133 0.1307
Br 0.2958 0.1477 0.8420
Br 0.7042 0.8523 0.1580
Br 0.7049 0.0867 0.8693
Br 0.8523 0.7042 0.6580
Br 0.9133 0.2951 0.6307



Calculated PXRD pattern of Pr5Hg2Cl for Cu Kα, from a cell relaxed with GGA-PBE.
Kinematic intensities with the Lorentz-polarization factor, no thermal factor.

Top 10 peaks for 10 to 90 degrees two-theta, in order of rising 2θ:
2θ (°), d (Å), intensity
29.72, 3.006, 100.0
29.87, 2.992, 48.6
31.28, 2.860, 21.5
32.12, 2.787, 56.9
32.22, 2.778, 31.3
40.10, 2.248, 29.4
43.36, 2.087, 16.3
44.85, 2.021, 22.4
54.82, 1.675, 18.2
61.71, 1.503, 16.5

Atomic structure:
Unit cell a=12.5898 b=8.0843 c=9.6300 alpha=90.00 beta=90.00 gamma=90.00
Sites, in units of the cell vectors:
Pr 0.0008 0.2500 0.0007
Pr 0.0642 0.0002 0.6992
Pr 0.0642 0.4998 0.6992
Pr 0.2093 0.2500 0.3684
Pr 0.2094 0.7500 0.3697
Pr 0.2906 0.2500 0.8697
Pr 0.2907 0.7500 0.8684
Pr 0.4358 0.9998 0.1992
Pr 0.4358 0.5002 0.1992
Pr 0.4992 0.7500 0.5007
Pr 0.5008 0.2500 0.4993
Pr 0.5642 0.0002 0.8008
Pr 0.5642 0.4998 0.8008
Pr 0.7093 0.2500 0.1316
Pr 0.7094 0.7500 0.1303
Pr 0.7906 0.2500 0.6303
Pr 0.7907 0.7500 0.6316
Pr 0.9358 0.9998 0.3008
Pr 0.9358 0.5002 0.3008
Pr 0.9992 0.7500 0.9993
Hg 0.1831 0.5016 0.1024
Hg 0.1831 0.9984 0.1024
Hg 0.3169 0.0016 0.6024
Hg 0.3169 0.4984 0.6024
Hg 0.6831 0.5016 0.3976
Hg 0.6831 0.9984 0.3976
Hg 0.8169 0.0016 0.8976
Hg 0.8169 0.4984 0.8976
Cl 0.0001 0.2500 0.4998
Cl 0.9999 0.7500 0.5002
Cl 0.5001 0.2500 0.0002
Cl 0.4999 0.7500 0.9998



Calculated PXRD pattern of BeMoRu for Cu Kα, from a cell relaxed with GGA-PBE.
Kinematic intensities with the Lorentz-polarization factor, no thermal factor.

Top 10 peaks for 10 to 90 degrees two-theta, in order of rising 2θ:
2θ (°), d (Å), intensity
22.20, 4.005, 13.1
31.51, 2.839, 7.8
38.91, 2.315, 22.9
40.60, 2.222, 100.0
45.26, 2.004, 7.7
50.89, 1.794, 12.1
51.06, 1.789, 10.8
71.54, 1.319, 15.9
71.64, 1.317, 9.2
83.60, 1.157, 13.3

Atomic structure:
Unit cell a=4.6292 b=5.6503 c=5.6776 alpha=90.00 beta=90.00 gamma=90.00
Sites, in units of the cell vectors:
Be 0.0000 0.0000 0.0000
Be 0.0000 0.5000 0.5000
Be 0.5000 0.0000 0.0000
Be 0.5000 0.5000 0.5000
Mo 0.2500 0.1535 0.3467
Mo 0.2500 0.3465 0.8467
Mo 0.7500 0.6535 0.8467
Mo 0.7500 0.8465 0.3467
Ru 0.2500 0.6647 0.1716
Ru 0.2500 0.8353 0.6716
Ru 0.7500 0.1647 0.6716
Ru 0.7500 0.3353 0.1716